ScBe2Mo: simulated XRD peak list (Cu Kα (weighted mean of Kα1 and Kα2)), based on a PBE-relaxed structure.
Kinematic intensities with the Lorentz-polarization factor, no thermal factor.

The 12 most intense peaks (10 to 90 degrees two-theta), by angle:
Position (°2θ)	I (rel.)
20.7	53
25.5	100
31.7	57
32.9	52
38.1	23
41.1	76
42.0	71
46.3	53
53.6	57
72.4	27
81.6	22
83.5	18

Structure:
```
ScBe2Mo
1.0
2.7250 -3.4983 0.0000
2.7250 3.4983 0.0000
0.0000 0.0000 2.8218
Sc Be Mo
1 2 1
direct
0.0000 0.0000 0.0000 Sc
0.0000 0.5000 0.5000 Be
0.5000 0.0000 0.5000 Be
0.5000 0.5000 0.0000 Mo
```